For Tb3Sm13, a crystal structure in Alexandria, relaxed with PBE gives the computed powder diffraction line list in this record (λ = 1.5418 Å (Cu Kα)).
Kinematic intensities with the Lorentz-polarization factor, no thermal factor.

Top 10 peaks for 2θ from 10° to 90°, in order of falling intensity:
2theta	Rel. int.
32.1	100.0
30.8	24.9
28.1	23.6
55.6	21.2
49.8	19.6
60.5	16.4
42.2	15.8
59.7	15.2
82.1	13.8
85.3	8.5

abc: 7.3314 8.6007 8.6007
angles: 84.97 90.00 90.00
Sites, in units of the cell vectors:
1 Tb 0.0000 0.0000 0.0000
2 Tb 0.2496 0.7516 0.7516
3 Tb 0.7504 0.7516 0.7516
4 Sm 0.0000 0.4182 0.9169
5 Sm 0.0000 0.5017 0.5017
6 Sm 0.0000 0.9169 0.4182
7 Sm 0.2494 0.1663 0.6689
8 Sm 0.2494 0.6689 0.1663
9 Sm 0.2498 0.2505 0.2505
10 Sm 0.5000 0.0001 0.0001
11 Sm 0.5000 0.4191 0.9164
12 Sm 0.5000 0.5015 0.5015
13 Sm 0.5000 0.9164 0.4191
14 Sm 0.7502 0.2505 0.2505
15 Sm 0.7506 0.1663 0.6689
16 Sm 0.7506 0.6689 0.1663

---

For Dy6Al2Pb, a crystal structure in Alexandria, relaxed with PBE gives the computed powder diffraction line list in this record (λ = 1.5418 Å (Cu Kα)).
Kinematic intensities with the Lorentz-polarization factor, no thermal factor.

Top 10 peaks for 2θ from 10° to 90°, in order of falling intensity:
2theta	Rel. int.
30.9	100.0
33.7	36.1
28.9	25.0
32.2	22.7
36.7	19.9
57.7	19.0
34.4	18.6
26.4	17.6
33.2	16.9
29.0	13.3

abc: 8.7387 8.7387 8.7387
angles: 113.07 111.87 103.63
Sites, in units of the cell vectors:
1 Dy 0.0256 0.8208 0.2048
2 Dy 0.2403 0.5353 0.2950
3 Dy 0.2403 0.9453 0.7050
4 Dy 0.2782 0.3129 0.5910
5 Dy 0.2782 0.6871 0.9653
6 Dy 0.3840 0.1792 0.2048
7 Dy 0.6160 0.8208 0.7952
8 Dy 0.7218 0.3129 0.0347
9 Dy 0.7218 0.6871 0.4090
10 Dy 0.7597 0.0547 0.2950
11 Dy 0.7597 0.4647 0.7050
12 Dy 0.9744 0.1792 0.7952
13 Al 0.0000 0.1414 0.1414
14 Al 0.0000 0.8586 0.8586
15 Al 0.3803 0.3803 0.0000
16 Al 0.6197 0.6197 0.0000
17 Pb 0.0000 0.5000 0.5000
18 Pb 0.5000 0.0000 0.5000

---

For Si4SnO10, a crystal structure in Alexandria, relaxed with PBE gives the computed powder diffraction line list in this record (λ = 1.5418 Å (Cu Kα)).
Kinematic intensities with the Lorentz-polarization factor, no thermal factor.

Top 10 peaks for 2θ from 10° to 90°, in order of falling intensity:
2theta	Rel. int.
28.5	100.0
21.8	77.4
16.5	71.8
24.8	52.2
15.9	46.8
27.5	27.1
25.9	25.2
46.1	21.9
37.2	17.6
33.4	17.1

abc: 7.5864 7.5864 16.3267
angles: 90.00 90.00 90.00
Sites, in units of the cell vectors:
1 Si 0.0151 0.0738 0.1545
2 Si 0.0151 0.4262 0.6545
3 Si 0.0738 0.0151 0.6545
4 Si 0.0738 0.4849 0.1545
5 Si 0.4262 0.0151 0.1545
6 Si 0.4262 0.4849 0.6545
7 Si 0.4849 0.0738 0.6545
8 Si 0.4849 0.4262 0.1545
9 Si 0.5151 0.5738 0.8455
10 Si 0.5151 0.9262 0.3455
11 Si 0.5738 0.5151 0.3455
12 Si 0.5738 0.9849 0.8455
13 Si 0.9262 0.5151 0.8455
14 Si 0.9262 0.9849 0.3455
15 Si 0.9849 0.5738 0.3455
16 Si 0.9849 0.9262 0.8455
17 Sn 0.2500 0.2500 0.4021
18 Sn 0.2500 0.2500 0.9021
19 Sn 0.7500 0.7500 0.0979
20 Sn 0.7500 0.7500 0.5979
21 O 0.0059 0.2153 0.6368
22 O 0.0059 0.2847 0.1368
23 O 0.0202 0.1278 0.4053
24 O 0.0202 0.3722 0.9053
25 O 0.0336 0.5336 0.2500
26 O 0.0336 0.9664 0.7500
27 O 0.1278 0.0202 0.9053
28 O 0.1278 0.4798 0.4053
29 O 0.2153 0.0059 0.1368
30 O 0.2153 0.4941 0.6368
31 O 0.2847 0.0059 0.6368
32 O 0.2847 0.4941 0.1368
33 O 0.3722 0.0202 0.4053
34 O 0.3722 0.4798 0.9053
35 O 0.4664 0.5336 0.7500
36 O 0.4664 0.9664 0.2500
37 O 0.4798 0.1278 0.9053
38 O 0.4798 0.3722 0.4053
39 O 0.4941 0.2153 0.1368
40 O 0.4941 0.2847 0.6368
41 O 0.5059 0.7153 0.3632
42 O 0.5059 0.7847 0.8632
43 O 0.5202 0.6278 0.5947
44 O 0.5202 0.8722 0.0947
45 O 0.5336 0.0336 0.7500
46 O 0.5336 0.4664 0.2500
47 O 0.6278 0.5202 0.0947
48 O 0.6278 0.9798 0.5947
49 O 0.7153 0.5059 0.8632
50 O 0.7153 0.9941 0.3632
51 O 0.7847 0.5059 0.3632
52 O 0.7847 0.9941 0.8632
53 O 0.8722 0.5202 0.5947
54 O 0.8722 0.9798 0.0947
55 O 0.9664 0.0336 0.2500
56 O 0.9664 0.4664 0.7500
57 O 0.9798 0.6278 0.0947
58 O 0.9798 0.8722 0.5947
59 O 0.9941 0.7153 0.8632
60 O 0.9941 0.7847 0.3632

---

For Mo2RuRh3, a crystal structure in Alexandria, relaxed with PBE gives the computed powder diffraction line list in this record (λ = 1.5418 Å (Cu Kα)).
Kinematic intensities with the Lorentz-polarization factor, no thermal factor.

Top 10 peaks for 2θ from 10° to 90°, in order of falling intensity:
2theta	Rel. int.
42.7	100.0
39.7	34.0
37.2	27.7
74.1	18.9
55.5	16.9
70.9	9.3
36.8	8.6
48.3	8.1
81.8	8.0
68.1	6.6

abc: 7.5971 7.5971 2.7525
angles: 90.00 90.00 145.20
Sites, in units of the cell vectors:
1 Mo 0.1501 0.8499 0.0000
2 Mo 0.8499 0.1501 0.0000
3 Ru 0.5000 0.5000 0.0000
4 Rh 0.0000 0.0000 0.5000
5 Rh 0.3108 0.6892 0.5000
6 Rh 0.6892 0.3108 0.5000

---

For Ac2NpAgTe5, a crystal structure in Alexandria, relaxed with PBE gives the computed powder diffraction line list in this record (λ = 1.5418 Å (Cu Kα)).
Kinematic intensities with the Lorentz-polarization factor, no thermal factor.

Top 10 peaks for 2θ from 10° to 90°, in order of falling intensity:
2theta	Rel. int.
28.1	100.0
33.0	65.0
28.3	43.4
39.4	31.3
23.9	19.7
21.6	19.0
49.2	19.0
36.2	16.0
39.3	12.6
43.4	11.9

abc: 9.9987 9.9987 13.5873
angles: 90.00 90.00 153.59
Sites, in units of the cell vectors:
1 Ac 0.1126 0.8874 0.5000
2 Ac 0.1245 0.8755 0.1214
3 Ac 0.8755 0.1245 0.6214
4 Ac 0.8874 0.1126 0.0000
5 Np 0.1939 0.8061 0.8224
6 Np 0.8061 0.1939 0.3224
7 Ag 0.4335 0.5665 0.2690
8 Ag 0.5665 0.4335 0.7690
9 Te 0.0444 0.9556 0.8807
10 Te 0.2902 0.7098 0.4787
11 Te 0.3049 0.6951 0.1599
12 Te 0.3573 0.6427 0.8142
13 Te 0.4992 0.5008 0.5876
14 Te 0.5008 0.4992 0.0876
15 Te 0.6427 0.3573 0.3142
16 Te 0.6951 0.3049 0.6599
17 Te 0.7098 0.2902 0.9787
18 Te 0.9556 0.0444 0.3807

---

For KPHNO2, a crystal structure in Alexandria, relaxed with PBE gives the computed powder diffraction line list in this record (λ = 1.5418 Å (Cu Kα)).
Kinematic intensities with the Lorentz-polarization factor, no thermal factor.

Top 10 peaks for 2θ from 10° to 90°, in order of falling intensity:
2theta	Rel. int.
23.5	100.0
27.4	97.6
27.7	84.8
30.2	78.5
36.9	78.3
29.5	61.7
33.3	52.5
19.0	52.4
39.3	51.4
50.3	44.3

abc: 8.1895 8.1895 8.1895
angles: 103.71 103.71 103.71
Sites, in units of the cell vectors:
1 K 0.1282 0.3155 0.8274
2 K 0.1726 0.8718 0.6845
3 K 0.3155 0.8274 0.1282
4 K 0.6845 0.1726 0.8718
5 K 0.8274 0.1282 0.3155
6 K 0.8718 0.6845 0.1726
7 P 0.1804 0.4482 0.2787
8 P 0.2787 0.1804 0.4482
9 P 0.4482 0.2787 0.1804
10 P 0.5518 0.7213 0.8196
11 P 0.7213 0.8196 0.5518
12 P 0.8196 0.5518 0.7213
13 H 0.2608 0.4583 0.5682
14 H 0.4318 0.7392 0.5417
15 H 0.4583 0.5682 0.2608
16 H 0.5417 0.4318 0.7392
17 H 0.5682 0.2608 0.4583
18 H 0.7392 0.5417 0.4318
19 N 0.2049 0.3590 0.4476
20 N 0.3590 0.4476 0.2049
21 N 0.4476 0.2049 0.3590
22 N 0.5524 0.7951 0.6410
23 N 0.6410 0.5524 0.7951
24 N 0.7951 0.6410 0.5524
25 O 0.0153 0.3333 0.1296
26 O 0.1296 0.0153 0.3333
27 O 0.1994 0.6416 0.3596
28 O 0.3333 0.1296 0.0153
29 O 0.3584 0.6404 0.8006
30 O 0.3596 0.1994 0.6416
31 O 0.6404 0.8006 0.3584
32 O 0.6416 0.3596 0.1994
33 O 0.6667 0.8704 0.9847
34 O 0.8006 0.3584 0.6404
35 O 0.8704 0.9847 0.6667
36 O 0.9847 0.6667 0.8704